ZnIr2Au: simulated XRD peak list (Cu Ka), based on a PBE-relaxed structure.
Intensities are scaled so that the largest is 100.

Most intense lines, 2θ = 10–90°, in order of falling intensity:
(hkl), two_theta, intensity
1 1 0, 39.75, 100
0 1 2, 39.21, 97
1 0 2, 45.43, 64
1 2 2, 67.34, 40
0 2 0, 46.88, 31
2 1 2, 80.42, 24
1 1 4, 79.37, 20
0 0 1, 15.53, 17
1 3 0, 82.20, 13
0 3 2, 81.85, 12

Structure:
```
ZnIr2Au
1.0
2.7957 0.0000 0.0000
0.0000 3.8758 0.0000
0.0000 0.0000 5.7049
Zn Ir Au
1 2 1
Direct
0.0000 0.0000 0.0000
0.0000 0.0000 0.5348
0.5000 0.5000 0.7353
0.5000 0.5000 0.2378
```